(1)
Structure and computed PXRD pattern of NdFe5Co5Mo2 (a structure optimized by DFT (GGA-PBE); Cu Kα (λ = 1.5418 Å)).
Intensities are scaled so that the largest is 100.

Most intense lines, 10 to 90 degrees two-theta, in order of rising 2θ:
- 36.34 deg, rel. 23
- 36.54 deg, rel. 26
- 36.69 deg, rel. 49
- 38.09 deg, rel. 34
- 41.75 deg, rel. 37
- 42.00 deg, rel. 82
- 42.27 deg, rel. 25
- 42.43 deg, rel. 100
- 43.59 deg, rel. 33
- 43.82 deg, rel. 56

Atomic structure:
```
13
Lattice="4.725 0.000 0.000 2.349 6.093 0.000 2.298 0.033 6.113" Properties=species:S:1:pos:R:3 pbc="T T T"
Nd 0.000 0.000 0.000
Fe 2.310 2.188 3.918
Fe 1.175 3.046 0.000
Fe 7.063 3.937 2.195
Fe 3.512 0.016 3.057
Fe 3.537 3.046 0.000
Co 1.149 0.016 3.057
Co 2.344 1.399 1.402
Co 4.666 1.376 4.756
Co 4.707 4.749 1.357
Co 7.029 4.726 4.711
Mo 4.671 3.934 3.914
Mo 4.702 2.191 2.199
```

***

(2)
Structure and computed PXRD pattern of As3Pd4Pb (a structure optimized by DFT (GGA-PBE); Cu Kα (λ = 1.5418 Å)).
Intensities are scaled so that the largest is 100.

Most intense lines, 10 to 90 degrees two-theta, in order of rising 2θ:
- 30.56 deg, rel. 81
- 31.66 deg, rel. 26
- 32.08 deg, rel. 56
- 37.38 deg, rel. 56
- 40.09 deg, rel. 100
- 41.30 deg, rel. 23
- 46.13 deg, rel. 39
- 48.97 deg, rel. 24
- 49.32 deg, rel. 25
- 57.29 deg, rel. 21

Atomic structure:
```
8
Lattice="-1.968 6.092 3.139 1.968 -6.092 3.139 1.968 6.092 -3.139" Properties=species:S:1:pos:R:3 pbc="T T T"
As 0.000 0.000 0.000
As 1.968 3.549 0.925
As 0.000 2.543 4.064
Pd 1.968 1.506 -0.711
Pd 1.968 4.189 -1.561
Pd 0.000 1.903 1.578
Pd 0.000 4.586 2.427
Pb 1.968 0.000 2.880
```

***

(3)
Structure and computed PXRD pattern of Rb2TbAuCl6 (a structure optimized by DFT (GGA-PBE); Cu Kα (λ = 1.5418 Å)).
Intensities are scaled so that the largest is 100.

Most intense lines, 10 to 90 degrees two-theta, in order of rising 2θ:
- 16.40 deg, rel. 36
- 23.28 deg, rel. 100
- 33.16 deg, rel. 55
- 37.20 deg, rel. 19
- 40.91 deg, rel. 47
- 47.59 deg, rel. 38
- 53.63 deg, rel. 22
- 64.52 deg, rel. 25
- 79.28 deg, rel. 17
- 88.68 deg, rel. 13

Atomic structure:
```
10
Lattice="0.000 5.404 5.404 5.404 0.000 5.404 5.404 5.404 0.000" Properties=species:S:1:pos:R:3 pbc="T T T"
Rb 2.702 2.702 2.702
Rb 8.106 8.106 8.106
Tb 0.000 0.000 0.000
Au 5.404 5.404 5.404
Cl 5.404 5.404 2.648
Cl 5.404 2.648 5.404
Cl 8.160 5.404 5.404
Cl 2.648 5.404 5.404
Cl 5.404 8.160 5.404
Cl 5.404 5.404 8.160
```